(1)
Calculated powder diffractogram
Compound: Sc2Cu3Ge2
Radiation: Cu Kα
Structure: a cell relaxed with PBE
Lines closer than 0.1° are merged.

Structural model:
```
Sc2Cu3Ge2
1.0
3.606 0.000 0.000
0.000 17.744 0.000
0.000 0.000 3.745
Sc Cu Ge
4 6 4
Direct
0.000 0.160 0.000 Sc
0.000 0.840 0.000 Sc
0.500 0.340 0.000 Sc
0.500 0.660 0.000 Sc
0.000 0.000 0.000 Cu
0.000 0.435 0.500 Cu
0.000 0.565 0.500 Cu
0.500 0.065 0.500 Cu
0.500 0.500 0.000 Cu
0.500 0.935 0.500 Cu
0.000 0.298 0.500 Ge
0.000 0.702 0.500 Ge
0.500 0.202 0.500 Ge
0.500 0.798 0.500 Ge
```

Peak list (6 most intense, 2θ from 10° to 90°, low angle first)
- 2θ = 34.91°, d 2.570, I 100, hkl 1 1 1
- 2θ = 38.80°, d 2.321, I 23, hkl 0 6 1
- 2θ = 43.16°, d 2.096, I 22, hkl 1 5 1
- 2θ = 43.65°, d 2.074, I 49, hkl 1 7 0
- 2θ = 48.62°, d 1.873, I 22, hkl 0 0 2
- 2θ = 67.38°, d 1.390, I 25, hkl 1 7 2

***

(2)
Calculated powder diffractogram
Compound: Na2PbO2
Radiation: Cu Kα
Structure: a cell relaxed with PBE
Lines closer than 0.1° are merged.

Structural model:
```
Na2PbO2
1.0
17.179 0.000 0.000
0.000 7.005 0.000
0.000 0.000 6.054
Na Pb O
16 8 16
Direct
0.000 0.121 0.250 Na
0.000 0.369 0.750 Na
0.000 0.631 0.250 Na
0.000 0.879 0.750 Na
0.134 0.373 0.084 Na
0.134 0.627 0.584 Na
0.366 0.127 0.584 Na
0.366 0.873 0.084 Na
0.500 0.131 0.250 Na
0.500 0.379 0.750 Na
0.500 0.621 0.250 Na
0.500 0.869 0.750 Na
0.634 0.127 0.916 Na
0.634 0.873 0.416 Na
0.866 0.373 0.416 Na
0.866 0.627 0.916 Na
0.162 0.136 0.567 Pb
0.162 0.864 0.067 Pb
0.338 0.364 0.067 Pb
0.338 0.636 0.567 Pb
0.662 0.364 0.433 Pb
0.662 0.636 0.933 Pb
0.838 0.136 0.933 Pb
0.838 0.864 0.433 Pb
0.086 0.353 0.437 O
0.086 0.647 0.937 O
0.097 0.103 0.890 O
0.097 0.897 0.390 O
0.403 0.397 0.390 O
0.403 0.603 0.890 O
0.414 0.147 0.937 O
0.414 0.853 0.437 O
0.586 0.147 0.563 O
0.586 0.853 0.063 O
0.597 0.397 0.110 O
0.597 0.603 0.610 O
0.903 0.103 0.610 O
0.903 0.897 0.110 O
0.914 0.353 0.063 O
0.914 0.647 0.563 O
```

Peak list (6 most intense, 2θ from 10° to 90°, low angle first)
- 2θ = 20.03°, d 4.433, I 65, hkl 3 1 0
- 2θ = 20.68°, d 4.295, I 40, hkl 4 0 0
- 2θ = 21.99°, d 4.042, I 83, hkl 2 1 1
- 2θ = 29.94°, d 2.984, I 100, hkl 1 2 1
- 2θ = 31.27°, d 2.861, I 44, hkl 6 0 0
- 2θ = 39.66°, d 2.273, I 77, hkl 5 2 1

***

(3)
Calculated powder diffractogram
Compound: La3Rh2Pb3
Radiation: Cu Kα
Structure: a cell relaxed with PBE
Lines closer than 0.1° are merged.

Structural model:
```
La3Rh2Pb3
1.0
17.544 0.000 0.000
0.000 4.791 0.000
-0.904 0.000 5.238
La Rh Pb
6 4 6
Direct
0.000 0.000 0.000 La
0.172 0.000 0.594 La
0.328 0.500 0.406 La
0.500 0.500 0.000 La
0.672 0.500 0.594 La
0.828 0.000 0.406 La
0.217 0.000 0.124 Rh
0.283 0.500 0.876 Rh
0.717 0.500 0.124 Rh
0.783 0.000 0.876 Rh
0.000 0.500 0.500 Pb
0.134 0.500 0.066 Pb
0.366 0.000 0.934 Pb
0.500 0.000 0.500 Pb
0.634 0.000 0.066 Pb
0.866 0.500 0.934 Pb
```

Peak list (6 most intense, 2θ from 10° to 90°, low angle first)
- 2θ = 28.05°, d 3.181, I 46, hkl 3 1 -1
- 2θ = 31.04°, d 2.881, I 25, hkl 6 0 0
- 2θ = 31.16°, d 2.870, I 100, hkl 3 1 1
- 2θ = 31.92°, d 2.804, I 23, hkl 5 1 0
- 2θ = 34.10°, d 2.629, I 87, hkl 2 0 -2
- 2θ = 37.54°, d 2.396, I 52, hkl 0 2 0

***

What did the second record say?
Calculated powder diffractogram
Compound: Na2PbO2
Radiation: Cu Kα
Structure: a cell relaxed with PBE
Lines closer than 0.1° are merged.

Structural model:
```
Na2PbO2
1.0
17.179 0.000 0.000
0.000 7.005 0.000
0.000 0.000 6.054
Na Pb O
16 8 16
Direct
0.000 0.121 0.250 Na
0.000 0.369 0.750 Na
0.000 0.631 0.250 Na
0.000 0.879 0.750 Na
0.134 0.373 0.084 Na
0.134 0.627 0.584 Na
0.366 0.127 0.584 Na
0.366 0.873 0.084 Na
0.500 0.131 0.250 Na
0.500 0.379 0.750 Na
0.500 0.621 0.250 Na
0.500 0.869 0.750 Na
0.634 0.127 0.916 Na
0.634 0.873 0.416 Na
0.866 0.373 0.416 Na
0.866 0.627 0.916 Na
0.162 0.136 0.567 Pb
0.162 0.864 0.067 Pb
0.338 0.364 0.067 Pb
0.338 0.636 0.567 Pb
0.662 0.364 0.433 Pb
0.662 0.636 0.933 Pb
0.838 0.136 0.933 Pb
0.838 0.864 0.433 Pb
0.086 0.353 0.437 O
0.086 0.647 0.937 O
0.097 0.103 0.890 O
0.097 0.897 0.390 O
0.403 0.397 0.390 O
0.403 0.603 0.890 O
0.414 0.147 0.937 O
0.414 0.853 0.437 O
0.586 0.147 0.563 O
0.586 0.853 0.063 O
0.597 0.397 0.110 O
0.597 0.603 0.610 O
0.903 0.103 0.610 O
0.903 0.897 0.110 O
0.914 0.353 0.063 O
0.914 0.647 0.563 O
```

Peak list (6 most intense, 2θ from 10° to 90°, low angle first)
- 2θ = 20.03°, d 4.433, I 65, hkl 3 1 0
- 2θ = 20.68°, d 4.295, I 40, hkl 4 0 0
- 2θ = 21.99°, d 4.042, I 83, hkl 2 1 1
- 2θ = 29.94°, d 2.984, I 100, hkl 1 2 1
- 2θ = 31.27°, d 2.861, I 44, hkl 6 0 0
- 2θ = 39.66°, d 2.273, I 77, hkl 5 2 1

***

Repeat the second record exactly.
Calculated powder diffractogram
Compound: Na2PbO2
Radiation: Cu Kα
Structure: a cell relaxed with PBE
Lines closer than 0.1° are merged.

Structural model:
```
Na2PbO2
1.0
17.179 0.000 0.000
0.000 7.005 0.000
0.000 0.000 6.054
Na Pb O
16 8 16
Direct
0.000 0.121 0.250 Na
0.000 0.369 0.750 Na
0.000 0.631 0.250 Na
0.000 0.879 0.750 Na
0.134 0.373 0.084 Na
0.134 0.627 0.584 Na
0.366 0.127 0.584 Na
0.366 0.873 0.084 Na
0.500 0.131 0.250 Na
0.500 0.379 0.750 Na
0.500 0.621 0.250 Na
0.500 0.869 0.750 Na
0.634 0.127 0.916 Na
0.634 0.873 0.416 Na
0.866 0.373 0.416 Na
0.866 0.627 0.916 Na
0.162 0.136 0.567 Pb
0.162 0.864 0.067 Pb
0.338 0.364 0.067 Pb
0.338 0.636 0.567 Pb
0.662 0.364 0.433 Pb
0.662 0.636 0.933 Pb
0.838 0.136 0.933 Pb
0.838 0.864 0.433 Pb
0.086 0.353 0.437 O
0.086 0.647 0.937 O
0.097 0.103 0.890 O
0.097 0.897 0.390 O
0.403 0.397 0.390 O
0.403 0.603 0.890 O
0.414 0.147 0.937 O
0.414 0.853 0.437 O
0.586 0.147 0.563 O
0.586 0.853 0.063 O
0.597 0.397 0.110 O
0.597 0.603 0.610 O
0.903 0.103 0.610 O
0.903 0.897 0.110 O
0.914 0.353 0.063 O
0.914 0.647 0.563 O
```

Peak list (6 most intense, 2θ from 10° to 90°, low angle first)
- 2θ = 20.03°, d 4.433, I 65, hkl 3 1 0
- 2θ = 20.68°, d 4.295, I 40, hkl 4 0 0
- 2θ = 21.99°, d 4.042, I 83, hkl 2 1 1
- 2θ = 29.94°, d 2.984, I 100, hkl 1 2 1
- 2θ = 31.27°, d 2.861, I 44, hkl 6 0 0
- 2θ = 39.66°, d 2.273, I 77, hkl 5 2 1